(1)
Simulated powder XRD pattern of Tm3Ag3Hg2 for CuKα, from DFT lattice parameters and positions (GGA-PBE).
Lines closer than 0.1° are merged.

Top 12 peaks for 2θ from 10° to 90°, by angle:
(hkl), 2θ (°), d (Å), I (rel.)
1 0 0, 13.69, 6.468, 93
1 1 0, 23.83, 3.734, 92
1 1 1, 33.32, 2.689, 1000
2 0 1, 36.17, 2.483, 284
2 1 0, 36.76, 2.445, 345
3 0 0, 41.90, 2.156, 260
2 1 1, 43.78, 2.068, 168
0 0 2, 46.88, 1.938, 149
2 1 2, 61.01, 1.519, 153
3 0 2, 64.67, 1.441, 146
3 2 1, 67.60, 1.386, 111
4 1 1, 71.08, 1.326, 198

Cell and atoms:
```
data_Tm3Ag3Hg2
_cell_length_a 7.4688
_cell_length_b 7.4688
_cell_length_c 3.8760
_cell_angle_alpha 90.00
_cell_angle_beta 90.00
_cell_angle_gamma 120.00
_space_group_name_H-M_alt 'P -6 2 m'
_space_group_IT_number 189
_space_group_name_Hall 'P -6 -2'
loop_
_atom_site_label
_atom_site_type_symbol
_atom_site_fract_x
_atom_site_fract_y
_atom_site_fract_z
Tm1 Tm 0.0000 0.3784 0.0000
Ag1 Ag 0.0000 0.7748 0.5000
Hg1 Hg 0.3333 0.6667 0.5000
```


(2)
Simulated powder XRD pattern of Pr5Tm4Tl4 for CuKα, from DFT lattice parameters and positions (GGA-PBE).
Lines closer than 0.1° are merged.

Top 12 peaks for 2θ from 10° to 90°, by angle:
(hkl), 2θ (°), d (Å), I (rel.)
3 0 1, 27.52, 3.242, 69
2 3 1, 30.94, 2.890, 1000
4 2 0, 31.35, 2.854, 112
1 4 1, 34.06, 2.633, 170
0 0 2, 35.88, 2.503, 385
3 4 1, 39.64, 2.274, 75
6 0 0, 42.50, 2.127, 117
5 1 2, 51.65, 1.770, 117
6 0 2, 56.80, 1.621, 85
2 3 3, 61.43, 1.509, 180
3 8 1, 65.18, 1.431, 140
3 8 3, 87.69, 1.113, 87

Cell and atoms:
```
data_Pr5Tm4Tl4
_cell_length_a 12.7625
_cell_length_b 12.7625
_cell_length_c 5.0054
_cell_angle_alpha 90.00
_cell_angle_beta 90.00
_cell_angle_gamma 90.00
_space_group_name_H-M_alt 'I 4/m'
_space_group_IT_number 87
_space_group_name_Hall '-I 4'
loop_
_atom_site_label
_atom_site_type_symbol
_atom_site_fract_x
_atom_site_fract_y
_atom_site_fract_z
Pr1 Pr 0.0000 0.0000 0.0000
Pr2 Pr 0.1087 0.8043 0.5000
Tm1 Tm 0.0936 0.5957 0.0000
Tl1 Tl 0.0897 0.2416 0.0000
```


(3)
Simulated powder XRD pattern of NaLi2TeO4 for CuKα, from DFT lattice parameters and positions (GGA-PBE).
Lines closer than 0.1° are merged.

Top 12 peaks for 2θ from 10° to 90°, by angle:
(hkl), 2θ (°), d (Å), I (rel.)
1 1 -1, 17.20, 5.157, 1000
0 2 0, 20.28, 4.380, 206
2 0 0, 27.38, 3.258, 95
2 0 -2, 27.97, 3.190, 94
3 1 -1, 32.51, 2.754, 348
1 3 -1, 33.76, 2.655, 136
2 2 0, 34.31, 2.614, 93
0 0 2, 39.54, 2.279, 355
0 4 0, 41.22, 2.190, 151
3 3 -1, 44.00, 2.058, 111
4 2 -2, 44.83, 2.022, 101
0 4 2, 58.44, 1.579, 193

Cell and atoms:
```
data_NaLi2TeO4
_cell_length_a 9.1082
_cell_length_b 8.7597
_cell_length_c 6.3792
_cell_angle_alpha 90.00
_cell_angle_beta 134.33
_cell_angle_gamma 90.00
_space_group_name_H-M_alt 'C 1 2/c 1'
_space_group_IT_number 15
loop_
_space_group_symop_operation_xyz
'x,y,z'
'-x,-y,-z'
'-x,y,-z+1/2'
'x,-y,z+1/2'
'x+1/2,y+1/2,z'
'-x+1/2,-y+1/2,-z'
'-x+1/2,y+1/2,-z+1/2'
'x+1/2,-y+1/2,z+1/2'
loop_
_atom_site_label
_atom_site_type_symbol
_atom_site_fract_x
_atom_site_fract_y
_atom_site_fract_z
Na1 Na 0.0000 0.0000 0.0000
Li1 Li 0.0000 0.5000 0.0000
Li2 Li 0.2500 0.2500 0.0000
Te1 Te 0.2500 0.2500 0.5000
O1 O 0.0006 0.2573 0.0243
O2 O 0.2386 0.4779 0.4889
```


(4)
Simulated powder XRD pattern of ZnNi2Ru for CuKα, from DFT lattice parameters and positions (GGA-PBE).
Lines closer than 0.1° are merged.

Top 12 peaks for 2θ from 10° to 90°, by angle:
(hkl), 2θ (°), d (Å), I (rel.)
0 0 2, 20.59, 4.313, 25
0 1 1, 22.98, 3.870, 32
0 1 3, 37.55, 2.395, 40
0 2 0, 41.71, 2.165, 319
0 0 4, 41.89, 2.157, 303
1 1 2, 45.13, 2.009, 1000
0 2 4, 60.60, 1.528, 192
2 0 0, 70.66, 1.333, 61
1 3 2, 78.55, 1.218, 178
1 1 6, 78.79, 1.215, 162
2 2 0, 85.54, 1.135, 72
2 0 4, 85.66, 1.134, 69

Cell and atoms:
```
data_ZnNi2Ru
_cell_length_a 2.6663
_cell_length_b 4.3309
_cell_length_c 8.6260
_cell_angle_alpha 90.00
_cell_angle_beta 90.00
_cell_angle_gamma 90.00
_space_group_name_H-M_alt 'I m m 2'
_space_group_IT_number 44
loop_
_space_group_symop_operation_xyz
'x,y,z'
'-x,-y,z'
'-x,y,z'
'x,-y,z'
'x+1/2,y+1/2,z+1/2'
'-x+1/2,-y+1/2,z+1/2'
'-x+1/2,y+1/2,z+1/2'
'x+1/2,-y+1/2,z+1/2'
loop_
_atom_site_label
_atom_site_type_symbol
_atom_site_fract_x
_atom_site_fract_y
_atom_site_fract_z
Zn1 Zn 0.0000 0.0000 0.0000
Ni1 Ni 0.0000 0.0000 0.4836
Ni2 Ni 0.0000 0.5000 0.7460
Ru1 Ru 0.0000 0.5000 0.2313
```


(5)
Simulated powder XRD pattern of Er4Ir2Au for CuKα, from DFT lattice parameters and positions (GGA-PBE).
Lines closer than 0.1° are merged.

Top 12 peaks for 2θ from 10° to 90°, by angle:
(hkl), 2θ (°), d (Å), I (rel.)
1 3 -2, 32.71, 2.738, 1000
3 1 -2, 32.95, 2.718, 497
1 5 -1, 38.95, 2.312, 488
2 2 -3, 39.02, 2.308, 154
3 1 0, 39.13, 2.302, 210
3 1 1, 49.54, 1.840, 130
2 6 -2, 51.78, 1.765, 96
1 1 -4, 54.00, 1.698, 118
3 3 -4, 54.16, 1.694, 89
4 4 -3, 54.29, 1.690, 137
1 7 2, 66.57, 1.405, 157
2 2 3, 66.69, 1.402, 111

Cell and atoms:
```
data_Er4Ir2Au
_cell_length_a 8.5887
_cell_length_b 12.2587
_cell_length_c 7.4740
_cell_angle_alpha 90.00
_cell_angle_beta 125.04
_cell_angle_gamma 90.00
_space_group_name_H-M_alt 'C 1 c 1'
_space_group_IT_number 9
loop_
_space_group_symop_operation_xyz
'x,y,z'
'x,-y,z+1/2'
'x+1/2,y+1/2,z'
'x+1/2,-y+1/2,z+1/2'
loop_
_atom_site_label
_atom_site_type_symbol
_atom_site_fract_x
_atom_site_fract_y
_atom_site_fract_z
Er1 Er 0.0000 0.0018 0.0000
Er2 Er 0.0412 0.4303 0.8582
Er3 Er 0.1102 0.2486 0.2211
Er4 Er 0.2934 0.1796 0.8630
Ir1 Ir 0.3012 0.0649 0.4908
Ir2 Ir 0.4211 0.3147 0.2307
Au1 Au 0.2360 0.3749 0.6109
```


(6)
Simulated powder XRD pattern of Li2Th3Si4 for CuKα, from DFT lattice parameters and positions (GGA-PBE).
Lines closer than 0.1° are merged.

Top 12 peaks for 2θ from 10° to 90°, by angle:
(hkl), 2θ (°), d (Å), I (rel.)
2 0 1, 21.84, 4.069, 248
1 1 -1, 24.48, 3.636, 714
1 1 2, 33.04, 2.711, 1000
0 2 0, 42.98, 2.104, 97
3 1 -3, 43.14, 2.097, 185
4 0 2, 44.54, 2.034, 86
1 1 -4, 48.86, 1.864, 124
2 0 4, 51.47, 1.775, 203
0 2 3, 55.29, 1.662, 157
2 0 -5, 55.46, 1.657, 74
1 1 5, 63.74, 1.460, 118
1 3 2, 72.44, 1.305, 73

Cell and atoms:
```
data_Li2Th3Si4
_cell_length_a 10.8992
_cell_length_b 4.2085
_cell_length_c 8.3208
_cell_angle_alpha 90.00
_cell_angle_beta 102.42
_cell_angle_gamma 90.00
_space_group_name_H-M_alt 'C 1 2/m 1'
_space_group_IT_number 12
loop_
_space_group_symop_operation_xyz
'x,y,z'
'-x,-y,-z'
'-x,y,-z'
'x,-y,z'
'x+1/2,y+1/2,z'
'-x+1/2,-y+1/2,-z'
'-x+1/2,y+1/2,-z'
'x+1/2,-y+1/2,z'
loop_
_atom_site_label
_atom_site_type_symbol
_atom_site_fract_x
_atom_site_fract_y
_atom_site_fract_z
Li1 Li 0.1152 0.0000 0.2813
Th1 Th 0.0000 0.5000 0.0000
Th2 Th 0.1614 0.0000 0.6731
Si1 Si 0.0613 0.5000 0.3931
Si2 Si 0.2188 0.0000 0.0537
```


(7)
Simulated powder XRD pattern of CeSiHg for CuKα, from DFT lattice parameters and positions (GGA-PBE).
Lines closer than 0.1° are merged.

Top 12 peaks for 2θ from 10° to 90°, by angle:
(hkl), 2θ (°), d (Å), I (rel.)
2 0 0, 10.46, 8.461, 354
4 0 -1, 31.07, 2.879, 373
1 1 1, 31.60, 2.831, 1000
5 1 0, 33.99, 2.638, 608
6 0 -1, 39.27, 2.294, 156
6 0 1, 39.39, 2.288, 157
0 2 0, 42.97, 2.105, 187
0 0 2, 46.22, 1.964, 151
4 2 -1, 53.97, 1.699, 173
5 1 -2, 58.55, 1.576, 180
5 1 2, 58.70, 1.573, 177
10 2 0, 71.60, 1.318, 147

Cell and atoms:
```
data_CeSiHg
_cell_length_a 16.9222
_cell_length_b 4.2095
_cell_length_c 3.9280
_cell_angle_alpha 90.00
_cell_angle_beta 90.18
_cell_angle_gamma 90.00
_space_group_name_H-M_alt 'C 1 2/m 1'
_space_group_IT_number 12
loop_
_space_group_symop_operation_xyz
'x,y,z'
'-x,-y,-z'
'-x,y,-z'
'x,-y,z'
'x+1/2,y+1/2,z'
'-x+1/2,-y+1/2,-z'
'-x+1/2,y+1/2,-z'
'x+1/2,-y+1/2,z'
loop_
_atom_site_label
_atom_site_type_symbol
_atom_site_fract_x
_atom_site_fract_y
_atom_site_fract_z
Ce1 Ce 0.0970 0.0000 0.2513
Si1 Si 0.0393 0.5000 0.7506
Hg1 Hg 0.2091 0.5000 0.7507
```


(8)
Simulated powder XRD pattern of AlCrGe for CuKα, from DFT lattice parameters and positions (GGA-PBE).
Lines closer than 0.1° are merged.

Top 12 peaks for 2θ from 10° to 90°, by angle:
(hkl), 2θ (°), d (Å), I (rel.)
1 1 1, 24.06, 3.699, 278
0 2 2, 30.15, 2.964, 140
1 1 3, 39.64, 2.274, 1000
0 4 0, 41.85, 2.158, 427
2 2 0, 43.61, 2.076, 755
1 3 3, 50.02, 1.823, 494
1 5 3, 67.21, 1.393, 194
3 1 3, 69.77, 1.348, 173
0 2 6, 73.00, 1.296, 149
3 3 3, 77.39, 1.233, 127
2 6 0, 77.65, 1.230, 126
2 0 6, 81.72, 1.178, 109

Cell and atoms:
```
data_AlCrGe
_cell_length_a 4.7345
_cell_length_b 8.6336
_cell_length_c 8.1526
_cell_angle_alpha 90.00
_cell_angle_beta 90.00
_cell_angle_gamma 90.00
_space_group_name_H-M_alt 'F d d 2'
_space_group_IT_number 43
_space_group_name_Hall 'F 2 -2d'
loop_
_atom_site_label
_atom_site_type_symbol
_atom_site_fract_x
_atom_site_fract_y
_atom_site_fract_z
Al1 Al 0.0000 0.0000 0.0000
Cr1 Cr 0.0000 0.0000 0.6699
Ge1 Ge 0.0000 0.0000 0.3408
```